[1]
Theoretical powder diffraction line list of Ho2Er2InCo2Ge4 for a wavelength of 1.5418 Å, from a DFT-relaxed cell (GGA-PBE, OQMD).
Intensities are scaled so that the largest is 100.

```
data_Ho2Er2InCo2Ge4
_chemical_formula_sum 'Ho4 Er4 In2 Co4 Ge8'
_cell_length_a 15.3502
_cell_length_b 4.1971
_cell_length_c 6.9869
_cell_angle_alpha 90.00
_cell_angle_beta 107.61
_cell_angle_gamma 90.00
_symmetry_space_group_name_H-M 'C 1 2/m 1'
_symmetry_Int_Tables_number 12
_symmetry_space_group_name_Hall '-C 2y'
loop_
_atom_site_label
_atom_site_fract_x
_atom_site_fract_y
_atom_site_fract_z
Ho1 0.1544 0.0000 0.4405
Er1 0.0905 0.0000 0.8897
In1 0.0000 0.5000 0.5000
Co1 0.2201 0.5000 0.1240
Ge1 0.0685 0.5000 0.1595
Ge2 0.2063 0.5000 0.7684
```

The 6 most intense peaks (2θ from 5° to 70°), by intensity:
- 34.95°, I = 100, hkl 3 1 -2
- 33.51°, I = 100, hkl 3 1 1
- 43.11°, I = 54, hkl 0 2 0
- 36.39°, I = 53, hkl 1 1 2
- 35.16°, I = 36, hkl 6 0 -1
- 40.65°, I = 35, hkl 0 0 3

---

[2]
Theoretical powder diffraction line list of Er2CoGe4Pt for a wavelength of 1.5418 Å, from a DFT-relaxed cell (GGA-PBE, OQMD).
Intensities are scaled so that the largest is 100.

```
data_Er2CoGe4Pt
_chemical_formula_sum 'Er4 Co2 Ge8 Pt2'
_cell_length_a 4.2734
_cell_length_b 4.0722
_cell_length_c 17.0744
_cell_angle_alpha 90.00
_cell_angle_beta 90.00
_cell_angle_gamma 90.00
_symmetry_space_group_name_H-M 'A m m 2'
_symmetry_Int_Tables_number 38
_symmetry_space_group_name_Hall 'A 2 -2'
loop_
_atom_site_label
_atom_site_fract_x
_atom_site_fract_y
_atom_site_fract_z
Er1 0.0000 0.0000 0.0000
Er2 0.5000 0.0000 0.2117
Co1 0.5000 0.0000 0.4290
Ge1 0.0000 0.0000 0.3685
Ge2 0.0000 0.0000 0.6379
Ge3 0.5000 0.0000 0.5621
Ge4 0.5000 0.0000 0.8616
Pt1 0.0000 0.0000 0.7794
```

The 6 most intense peaks (2θ from 5° to 70°), by intensity:
- 34.26°, I = 100, hkl 0 1 5
- 30.78°, I = 30, hkl 1 1 1
- 42.30°, I = 25, hkl 2 0 0
- 44.50°, I = 21, hkl 0 2 0
- 37.99°, I = 19, hkl 1 0 6
- 55.52°, I = 19, hkl 2 1 5

---

[3]
Theoretical powder diffraction line list of Er2CoSiGe for a wavelength of 1.5418 Å, from a DFT-relaxed cell (GGA-PBE, OQMD).
Intensities are scaled so that the largest is 100.

```
data_Er2CoSiGe
_chemical_formula_sum 'Er8 Co4 Si4 Ge4'
_cell_length_a 10.3638
_cell_length_b 4.1187
_cell_length_c 10.0458
_cell_angle_alpha 90.00
_cell_angle_beta 118.92
_cell_angle_gamma 90.00
_symmetry_space_group_name_H-M 'C 1 2/m 1'
_symmetry_Int_Tables_number 12
_symmetry_space_group_name_Hall '-C 2y'
loop_
_atom_site_label
_atom_site_fract_x
_atom_site_fract_y
_atom_site_fract_z
Er1 0.9997 0.0000 0.1674
Er2 0.1843 0.0000 0.6108
Co1 0.2309 0.5000 0.8834
Si1 0.1503 0.5000 0.0667
Ge1 0.0154 0.5000 0.3712
```

The 6 most intense peaks (2θ from 5° to 70°), by intensity:
- 34.40°, I = 100, hkl 1 1 2
- 34.88°, I = 76, hkl 1 1 -3
- 37.69°, I = 73, hkl 3 1 -3
- 34.13°, I = 65, hkl 3 1 -1
- 34.63°, I = 56, hkl 4 0 -2
- 41.07°, I = 55, hkl 0 0 4

---

[4]
Theoretical powder diffraction line list of HoEr2Co3Ni6 for a wavelength of 1.5418 Å, from a DFT-relaxed cell (GGA-PBE, OQMD).
Intensities are scaled so that the largest is 100.

```
data_HoEr2Co3Ni6
_chemical_formula_sum 'Ho3 Er6 Co9 Ni18'
_cell_length_a 4.9134
_cell_length_b 4.9134
_cell_length_c 24.2869
_cell_angle_alpha 90.00
_cell_angle_beta 90.00
_cell_angle_gamma 120.00
_symmetry_space_group_name_H-M 'R -3 m'
_symmetry_Int_Tables_number 166
_symmetry_space_group_name_Hall '-R 3 2"'
loop_
_atom_site_label
_atom_site_fract_x
_atom_site_fract_y
_atom_site_fract_z
Ho1 0.0000 0.0000 0.0000
Er1 0.0000 0.0000 0.1392
Co1 0.0000 0.0000 0.3331
Co2 0.0000 0.0000 0.5000
Ni1 0.0011 0.5005 0.0820
```

The 6 most intense peaks (2θ from 5° to 70°), by intensity:
- 43.08°, I = 100, hkl 1 1 6
- 36.58°, I = 51, hkl 1 1 0
- 33.32°, I = 51, hkl 1 0 7
- 36.35°, I = 40, hkl 0 1 8
- 42.66°, I = 39, hkl 0 2 1
- 63.79°, I = 16, hkl 2 1 7